# 1
Simulated X-ray diffraction stick pattern of KTa2Os for CuKα, from a DFT-relaxed cell (GGA-PBE, Alexandria).
Neutral-atom scattering factors, no anomalous dispersion.

The 10 most intense peaks (2θ from 10° to 80°), by angle:
Position (°2θ)  I_rel  (hkl)
33.81  23  0 0 4
37.44  32  0 2 0
38.00  100  1 1 2
42.66  58  0 0 5
51.32  11  0 2 4
58.00  13  0 2 5
67.91  18  1 3 2
71.14  10  1 3 3
71.27  10  2 2 0
71.77  14  1 1 7

Atomic structure:
```
8
Lattice="3.171 0.000 0.000 0.000 4.804 0.000 0.000 0.000 10.609" Properties=species:S:1:pos:R:3 pbc="T T T"
K 0.000 0.000 0.000
K 1.585 2.402 0.000
Ta 0.000 0.000 5.713
Ta 0.000 2.402 3.362
Ta 1.585 0.000 3.362
Ta 1.585 2.402 5.713
Os 0.000 2.402 7.780
Os 1.585 0.000 7.780
```

=====

# 2
Simulated X-ray diffraction stick pattern of Dy2Er4S9 for CuKα, from a DFT-relaxed cell (GGA-PBE, Alexandria).
Neutral-atom scattering factors, no anomalous dispersion.

The 10 most intense peaks (2θ from 10° to 80°), by angle:
Position (°2θ)  I_rel  (hkl)
17.76  42  1 0 2
24.45  96  0 1 4
25.96  100  1 1 0
35.96  45  2 0 4
39.37  84  1 1 6
44.88  45  1 2 4
45.79  48  3 0 0
51.96  25  0 1 10
61.94  21  2 2 6
65.51  20  1 2 10

Atomic structure:
```
30
Lattice="6.864 0.000 0.000 -3.432 5.945 0.000 0.000 0.000 18.427" Properties=species:S:1:pos:R:3 pbc="T T T"
Dy 0.000 0.000 2.752
Dy 0.000 0.000 6.462
Dy 0.000 0.000 11.965
Dy 0.000 0.000 15.675
Er 0.000 3.963 3.379
Er 0.000 3.963 8.916
Er 0.000 3.963 12.592
Er 0.000 3.963 18.129
Er 3.432 1.982 0.298
Er 3.432 1.982 5.835
Er 3.432 1.982 9.511
Er 3.432 1.982 15.048
S -1.041 1.804 4.607
S -2.391 4.141 13.820
S -1.049 2.187 10.750
S -2.062 3.943 1.536
S 2.083 0.000 4.607
S 1.041 1.804 13.820
S 1.049 2.187 1.536
S -1.013 5.759 10.750
S 2.419 0.185 16.891
S 1.370 2.002 7.677
S 2.062 3.943 10.750
S 1.013 5.759 1.536
S 4.446 0.185 7.677
S 2.383 3.757 16.891
S 4.781 0.000 13.820
S 2.391 4.141 4.607
S 5.495 2.002 16.891
S 4.481 3.757 7.677
```

=====

# 3
Simulated X-ray diffraction stick pattern of FeH3Se for CuKα, from a DFT-relaxed cell (GGA-PBE, Alexandria).
Neutral-atom scattering factors, no anomalous dispersion.

The 7 most intense peaks (2θ from 10° to 80°), by angle:
Position (°2θ)  I_rel  (hkl)
26.27  2  1 0 0
37.49  100  1 1 0
46.36  1  1 1 1
54.07  18  2 0 0
61.08  1  2 1 0
67.65  33  2 1 1
80.00  11  2 2 0

Atomic structure:
```
5
Lattice="3.392 0.000 0.000 0.000 3.392 0.000 0.000 0.000 3.392" Properties=species:S:1:pos:R:3 pbc="T T T"
Fe 0.000 0.000 0.000
H 0.000 0.000 1.696
H 0.000 1.696 0.000
H 1.696 0.000 0.000
Se 1.696 1.696 1.696
```